Computed XRD peak list
Compound: CaNi3C4O12
Radiation: Cu Ka
Structure: a structure optimized by DFT (GGA+U)
No peak broadening, texture or thermal motion is included.

Largest 10 diffraction maxima, sorted by position, 2θ = 15–90°:
- d = 4.780 Å, intensity 15.4
- d = 3.658 Å, intensity 32.9
- d = 2.905 Å, intensity 22.9
- d = 2.841 Å, intensity 100.0
- d = 2.390 Å, intensity 17.5
- d = 2.001 Å, intensity 11.4
- d = 1.979 Å, intensity 29.8
- d = 1.766 Å, intensity 19.1
- d = 1.761 Å, intensity 20.7
- d = 1.593 Å, intensity 12.5

Structure:
```
20
Lattice="4.780 2.760 2.604 -4.780 2.760 2.604 0.000 -5.519 2.604" Properties=species:S:1:pos:R:3 pbc="T T T"
Ca 0.000 0.000 0.000
Ni -2.593 -1.028 2.604
Ni 2.187 -1.732 2.604
Ni 0.406 2.760 2.604
C -2.179 -3.773 3.906
C 0.000 0.000 3.906
C -2.179 3.773 3.906
C 4.357 0.000 3.906
O -2.850 -2.679 3.783
O -3.897 0.000 3.906
O -0.895 -3.808 4.029
O -1.297 0.000 3.906
O -2.850 2.679 4.029
O 1.949 -3.375 3.906
O 0.649 -1.123 3.906
O -0.895 3.808 3.783
O 0.649 1.123 3.906
O 3.745 -1.129 3.783
O 1.949 3.375 3.906
O 3.745 1.129 4.029
```